Starting from a GGA-PBE-relaxed structure, the XRD peak list of ZrAg3Cl9 was calculated for a wavelength of 1.5418 Å.
Kinematic intensities with the Lorentz-polarization factor, no thermal factor.

Principal peaks in the range 2θ = 10–90°, low angle first:
| Position (°2θ) | I (rel.) |
| --- | --- |
| 12.1 | 57 |
| 13.9 | 45 |
| 14.1 | 100 |
| 16.9 | 68 |
| 19.1 | 57 |
| 22.3 | 38 |
| 22.5 | 43 |
| 33.3 | 24 |
| 35.3 | 33 |
| 43.5 | 25 |

Cell: 10.1291 10.1291 15.2495 Å, 121.45 121.45 40.21°
Positions (direct):
Zr1 0.2123 0.7877 0.5000
Zr2 0.7877 0.2123 0.0000
Ag1 0.0325 0.5664 0.5162
Ag2 0.0412 0.5389 0.7989
Ag3 0.2113 0.9882 0.7666
Ag4 0.5389 0.0412 0.2989
Ag5 0.5664 0.0325 0.0162
Ag6 0.9882 0.2113 0.2666
Cl1 0.0823 0.9184 0.3573
Cl2 0.1291 0.3179 0.8836
Cl3 0.1428 0.9480 0.1093
Cl4 0.1537 0.3963 0.6404
Cl5 0.2303 0.6832 0.6426
Cl6 0.3179 0.1291 0.3836
Cl7 0.3963 0.1537 0.1404
Cl8 0.4186 0.4632 0.9293
Cl9 0.4632 0.4186 0.4293
Cl10 0.4736 0.8057 0.6135
Cl11 0.5157 0.7819 0.8955
Cl12 0.6832 0.2303 0.1426
Cl13 0.7670 0.9160 0.9038
Cl14 0.7819 0.5157 0.3955
Cl15 0.8057 0.4736 0.1135
Cl16 0.9160 0.7670 0.4038
Cl17 0.9184 0.0823 0.8573
Cl18 0.9480 0.1428 0.6093